CeMnFeSi2: calculated powder X-ray diffraction pattern (Cu Kα, 1.54184 Å), based on a crystal structure in Alexandria, relaxed with PBE.
Neutral-atom scattering factors, no anomalous dispersion.

The 10 most intense peaks (2θ = 5–70°), most intense first:
36.77 deg, 2.445 Å, I 100; 35.05 deg, 2.560 Å, I 57; 24.18 deg, 3.680 Å, I 43; 45.91 deg, 1.977 Å, I 39; 59.04 deg, 1.565 Å, I 25; 50.84 deg, 1.796 Å, I 19; 64.74 deg, 1.440 Å, I 18; 35.63 deg, 2.520 Å, I 16; 59.43 deg, 1.555 Å, I 14; 66.95 deg, 1.398 Å, I 12

Structural model:
```
5
Lattice="-1.9766 1.9766 5.0395 1.9766 -1.9766 5.0395 1.9766 1.9766 -5.0395" Properties=species:S:1:pos:R:3 pbc="T T T"
Ce 0.0000 0.0000 0.0000
Mn 1.9766 0.0000 2.5198
Fe 0.0000 1.9766 2.5198
Si 0.0000 0.0000 3.7747
Si 0.0000 0.0000 6.3044
```